Calculated powder X-ray diffraction pattern
Compound: Mn15NiO32
Radiation: a wavelength of 1.5418 Å
Structure: a structure optimized by DFT (GGA+U)

Main lines, by angle (10° ≤ 2θ ≤ 80°):
- (0 2 1), 18.64°, I 100
- (0 0 3), 18.75°, I 30
- (2 2 3), 36.16°, I 33
- (2 0 5), 36.29°, I 11
- (0 4 2), 37.80°, I 9
- (4 0 4), 44.00°, I 64
- (2 4 1), 48.08°, I 6
- (6 0 3), 58.20°, I 16
- (4 4 0), 63.83°, I 17
- (0 4 8), 64.12°, I 16
- (6 2 1), 67.15°, I 9
- (2 4 7), 67.35°, I 4

Crystal structure
a b c (Å): 11.6660 11.6660 14.2006
angles (deg): 90.00 90.00 120.00
Space group R-3m (No. 166, hexagonal axes)
Asymmetric unit:
Mn 0.0000 0.2498 0.0000
Mn 0.0000 0.5000 0.5000
Mn 0.0833 0.1666 0.6650
Ni 0.0000 0.0000 0.5000
O 0.0000 0.0000 0.2661
O 0.0007 0.5004 0.7360
O 0.0199 0.2596 0.7445
O 0.0725 0.1451 0.4142
O 0.0932 0.1865 0.9215